(1)
Structure and theoretical X-ray powder pattern of Ac3In3Cu (a PBE-relaxed structure; Cu Kα (weighted mean of Kα1 and Kα2)).
Kinematic intensities with the Lorentz-polarization factor, no thermal factor.

Most intense lines, 15 to 90 degrees two-theta, sorted by position:
2θ (°)	d/Å	I (rel.)	h k l
24.3	3.663	21.1	1 1 2
28.3	3.159	100.0	1 1 -4
29.0	3.078	48.8	3 1 -1
30.1	2.974	32.6	4 0 -2
32.5	2.757	18.0	3 1 -4
35.2	2.553	22.1	0 0 6
35.5	2.531	39.9	3 1 2
36.3	2.473	38.9	0 2 0
47.8	1.901	18.4	4 2 -2
60.9	1.522	18.4	1 1 9

```
data_Ac3In3Cu
_chemical_formula_sum 'Ac12 In12 Cu4'
_symmetry_space_group_name_H-M 'C 1 2/m 1'
_symmetry_Int_Tables_number 12
_symmetry_space_group_name_Hall '-C 2y'
_cell_length_a 11.895
_cell_length_b 4.946
_cell_length_c 16.405
_cell_angle_alpha 90.00
_cell_angle_beta 110.98
_cell_angle_gamma 90.00
loop_
_atom_site_label
_atom_site_type_symbol
_atom_site_fract_x
_atom_site_fract_y
_atom_site_fract_z
_atom_site_occupancy
Ac1 Ac 0.045 0.000 0.388 1
Ac2 Ac 0.099 0.000 0.919 1
Ac3 Ac 0.248 0.500 0.765 1
In1 In 0.047 0.500 0.240 1
In2 In 0.114 0.500 0.077 1
In3 In 0.142 0.500 0.542 1
Cu1 Cu 0.247 0.000 0.605 1
```

=====

(2)
Structure and theoretical X-ray powder pattern of AcIn8Cu2 (a PBE-relaxed structure; Cu Kα (weighted mean of Kα1 and Kα2)).
Kinematic intensities with the Lorentz-polarization factor, no thermal factor.

Most intense lines, 15 to 90 degrees two-theta, sorted by position:
2θ (°)	d/Å	I (rel.)	h k l
17.4	5.090	26.1	1 0 1
22.4	3.961	36.9	1 1 1
28.3	3.154	27.3	2 0 0
30.2	2.962	24.3	2 0 1
31.1	2.872	27.0	0 0 3
35.3	2.545	100.0	2 0 2
40.4	2.230	51.9	2 2 0
42.6	2.124	30.4	2 0 3
51.9	1.761	25.3	2 2 3
70.2	1.340	25.5	4 2 2

```
data_AcIn8Cu2
_chemical_formula_sum 'Ac1 In8 Cu2'
_symmetry_space_group_name_H-M 'P 4/m m m'
_symmetry_Int_Tables_number 123
_symmetry_space_group_name_Hall '-P 4 2'
_cell_length_a 6.307
_cell_length_b 6.307
_cell_length_c 8.617
_cell_angle_alpha 90.00
_cell_angle_beta 90.00
_cell_angle_gamma 90.00
loop_
_atom_site_label
_atom_site_type_symbol
_atom_site_fract_x
_atom_site_fract_y
_atom_site_fract_z
_atom_site_occupancy
Ac1 Ac 0.000 0.000 0.000 1
In1 In 0.253 0.253 0.309 1
Cu1 Cu 0.000 0.500 0.500 1
```

=====

(3)
Structure and theoretical X-ray powder pattern of Ac3InCu2 (a PBE-relaxed structure; Cu Kα (weighted mean of Kα1 and Kα2)).
Kinematic intensities with the Lorentz-polarization factor, no thermal factor.

Most intense lines, 15 to 90 degrees two-theta, sorted by position:
2θ (°)	d/Å	I (rel.)	h k l
22.0	4.041	11.1	0 0 3
23.1	3.842	23.6	1 0 0
32.1	2.785	100.0	1 0 3
33.0	2.717	51.3	1 1 0
40.0	2.255	10.1	1 1 3
44.8	2.021	10.8	0 0 6
47.3	1.921	18.9	2 0 0
56.8	1.622	16.6	1 1 6
58.4	1.581	40.9	2 1 3
78.3	1.221	11.5	3 0 3

```
data_Ac3InCu2
_chemical_formula_sum 'Ac3 In1 Cu2'
_symmetry_space_group_name_H-M 'P 4/m m m'
_symmetry_Int_Tables_number 123
_symmetry_space_group_name_Hall '-P 4 2'
_cell_length_a 3.842
_cell_length_b 3.842
_cell_length_c 12.124
_cell_angle_alpha 90.00
_cell_angle_beta 90.00
_cell_angle_gamma 90.00
loop_
_atom_site_label
_atom_site_type_symbol
_atom_site_fract_x
_atom_site_fract_y
_atom_site_fract_z
_atom_site_occupancy
Ac1 Ac 0.000 0.000 0.000 1
Ac2 Ac 0.000 0.000 0.311 1
In1 In 0.500 0.500 0.500 1
Cu1 Cu 0.500 0.500 0.155 1
```